# 1
Theoretical powder XRD pattern of NaGeN for Cu Kα, from a crystal structure in the Materials Project, relaxed with PBE.
Peak positions follow from Bragg's law for the DFT cell and can differ from measured ones.

Principal peaks in the range 15 to 90 degrees two-theta, low angle first:
Position (°2θ)	I_rel
16.85	60
33.32	30
34.08	26
37.56	100
48.40	30
59.54	21
62.35	10
63.31	25
70.42	18
72.56	14

Structural model:
```
NaGeN
1.0
3.105 0.000 0.000
-1.553 2.689 0.000
0.000 0.000 10.522
Na Ge N
2 2 2
direct
0.333 0.667 0.000
0.667 0.333 0.500
0.000 0.000 0.247
0.000 0.000 0.747
0.333 0.667 0.336
0.667 0.333 0.836
```

=====

# 2
Theoretical powder XRD pattern of GdTmCd2 for Cu Kα, from a crystal structure in the Materials Project, relaxed with PBE.
Peak positions follow from Bragg's law for the DFT cell and can differ from measured ones.

Principal peaks in the range 15 to 90 degrees two-theta, low angle first:
Position (°2θ)	I_rel
23.71	3
33.78	100
41.69	1
48.52	18
54.69	2
60.42	37
71.05	11
76.09	1
81.03	16
85.89	1

Structural model:
```
GdTmCd2
1.0
0.000 3.753 3.753
3.753 0.000 3.753
3.753 3.753 0.000
Gd Tm Cd
1 1 2
direct
0.000 0.000 0.000
0.500 0.500 0.500
0.250 0.250 0.250
0.750 0.750 0.750
```

=====

# 3
Theoretical powder XRD pattern of Pr4AsBrO8 for Cu Kα, from a crystal structure in the Materials Project, relaxed with PBE.
Peak positions follow from Bragg's law for the DFT cell and can differ from measured ones.

Principal peaks in the range 15 to 90 degrees two-theta, low angle first:
Position (°2θ)	I_rel
29.06	100
29.88	42
40.36	14
42.77	19
51.01	25
52.54	33
60.24	9
66.52	10
82.38	10
84.40	7

Structural model:
```
Pr4AsBrO8
1.0
8.458 0.000 0.000
0.000 8.458 0.000
0.000 0.000 13.414
Pr As Br O
16 4 4 32
direct
0.013 0.244 0.168
0.013 0.244 0.832
0.244 0.987 0.332
0.244 0.987 0.668
0.245 0.517 0.331
0.245 0.517 0.669
0.483 0.245 0.169
0.483 0.245 0.831
0.517 0.755 0.169
0.517 0.755 0.831
0.755 0.483 0.331
0.755 0.483 0.669
0.756 0.013 0.332
0.756 0.013 0.668
0.987 0.756 0.168
0.987 0.756 0.832
0.043 0.252 0.500
0.252 0.957 0.000
0.748 0.043 0.000
0.957 0.748 0.500
0.253 0.444 0.000
0.444 0.747 0.500
0.556 0.253 0.500
0.747 0.556 0.000
0.000 0.000 0.250
0.000 0.000 0.750
0.000 0.500 0.239
0.000 0.500 0.761
0.072 0.748 0.395
0.072 0.748 0.605
0.086 0.836 0.000
0.164 0.086 0.500
0.165 0.418 0.500
0.249 0.257 0.270
0.249 0.257 0.730
0.252 0.072 0.105
0.252 0.072 0.895
0.257 0.751 0.230
0.257 0.751 0.770
0.418 0.835 0.000
0.500 0.000 0.261
0.500 0.000 0.739
0.500 0.500 0.250
0.500 0.500 0.750
0.582 0.165 0.000
0.743 0.249 0.230
0.743 0.249 0.770
0.748 0.928 0.105
0.748 0.928 0.895
0.751 0.743 0.270
0.751 0.743 0.730
0.835 0.582 0.500
0.836 0.914 0.500
0.914 0.164 0.000
0.928 0.252 0.395
0.928 0.252 0.605
```